Fe3CoH3: computed powder diffractogram (Cu Kα X-rays), based on DFT lattice parameters and positions (GGA-PBE).
Peak positions follow from Bragg's law for the DFT cell and can differ from measured ones.

Main lines, low angle first (2θ from 10° to 90°):
42.18°, intensity 100.0
48.50°, intensity 17.0
49.40°, intensity 32.3
71.73°, intensity 18.7
72.45°, intensity 9.1
86.20°, intensity 10.7
87.56°, intensity 20.9

Structure:
```
data_Fe3CoH3
_chemical_formula_sum 'Fe6 Co2 H6'
_symmetry_space_group_name_H-M 'P 4/n m m'
_symmetry_Int_Tables_number 129
_cell_length_a 3.690
_cell_length_b 3.690
_cell_length_c 7.508
_cell_angle_alpha 90.00
_cell_angle_beta 90.00
_cell_angle_gamma 90.00
loop_
_symmetry_equiv_pos_as_xyz
'x,y,z'
'-x,-y,-z'
'-y+1/2,x,z'
'y+1/2,-x,-z'
'-x+1/2,-y+1/2,z'
'x+1/2,y+1/2,-z'
'y,-x+1/2,z'
'-y,x+1/2,-z'
'x+1/2,-y,-z'
'-x+1/2,y,z'
'-y,-x,-z'
'y,x,z'
'-x,y+1/2,-z'
'x,-y+1/2,z'
'y+1/2,x+1/2,-z'
'-y+1/2,-x+1/2,z'
loop_
_atom_site_label
_atom_site_fract_x
_atom_site_fract_y
_atom_site_fract_z
_atom_site_occupancy
Fe1 0.250 0.250 0.245 1
Fe2 0.250 0.750 0.000 1
Fe3 0.250 0.750 0.500 1
Co1 0.250 0.250 0.753 1
H1 0.250 0.250 0.499 1
H2 0.250 0.750 0.250 1
```

NbV6Fe2: computed powder diffractogram (Cu Kα X-rays), based on DFT lattice parameters and positions (GGA-PBE).
Peak positions follow from Bragg's law for the DFT cell and can differ from measured ones.

Main lines, low angle first (2θ from 10° to 90°):
32.08°, intensity 19.0
33.70°, intensity 19.0
39.37°, intensity 100.0
41.49°, intensity 27.0
45.31°, intensity 69.7
47.55°, intensity 26.5
66.02°, intensity 20.5
79.66°, intensity 21.6

Structure:
```
data_NbV6Fe2
_chemical_formula_sum 'Nb1 V6 Fe2'
_symmetry_space_group_name_H-M 'P 4/m m m'
_symmetry_Int_Tables_number 123
_symmetry_space_group_name_Hall '-P 4 2'
_cell_length_a 4.003
_cell_length_b 4.003
_cell_length_c 7.781
_cell_angle_alpha 90.00
_cell_angle_beta 90.00
_cell_angle_gamma 90.00
loop_
_atom_site_label
_atom_site_fract_x
_atom_site_fract_y
_atom_site_fract_z
_atom_site_occupancy
Nb1 0.000 0.000 0.000 1
V1 0.000 0.000 0.500 1
V2 0.000 0.500 0.291 1
V3 0.500 0.500 0.500 1
Fe1 0.500 0.500 0.138 1
```

ThGaGe: computed powder diffractogram (Cu Kα X-rays), based on DFT lattice parameters and positions (GGA-PBE).
Peak positions follow from Bragg's law for the DFT cell and can differ from measured ones.

Main lines, low angle first (2θ from 10° to 90°):
24.16°, intensity 25.1
31.28°, intensity 53.5
32.56°, intensity 100.0
40.46°, intensity 42.9
43.50°, intensity 17.6
43.80°, intensity 17.0
54.55°, intensity 22.8
61.15°, intensity 25.2

Structure:
```
data_ThGaGe
_chemical_formula_sum 'Th4 Ga4 Ge4'
_symmetry_space_group_name_H-M 'I m m m'
_symmetry_Int_Tables_number 71
_symmetry_space_group_name_Hall '-I 2 2'
_cell_length_a 4.161
_cell_length_b 7.920
_cell_length_c 8.267
_cell_angle_alpha 90.00
_cell_angle_beta 90.00
_cell_angle_gamma 90.00
loop_
_atom_site_label
_atom_site_fract_x
_atom_site_fract_y
_atom_site_fract_z
_atom_site_occupancy
Th1 0.000 0.000 0.243 1
Ga1 0.000 0.343 0.000 1
Ge1 0.000 0.328 0.500 1
```

CsMoBr6: computed powder diffractogram (Cu Kα X-rays), based on DFT lattice parameters and positions (GGA-PBE).
Peak positions follow from Bragg's law for the DFT cell and can differ from measured ones.

Main lines, low angle first (2θ from 10° to 90°):
16.95°, intensity 70.2
21.27°, intensity 28.0
27.61°, intensity 30.5
27.77°, intensity 62.1
28.43°, intensity 37.3
32.25°, intensity 52.5
32.36°, intensity 100.0
46.91°, intensity 37.0

Structure:
```
data_CsMoBr6
_chemical_formula_sum 'Cs2 Mo2 Br12'
_symmetry_space_group_name_H-M 'C 1 2/m 1'
_symmetry_Int_Tables_number 12
_symmetry_space_group_name_Hall '-C 2y'
_cell_length_a 8.700
_cell_length_b 10.430
_cell_length_c 6.839
_cell_angle_alpha 90.00
_cell_angle_beta 106.48
_cell_angle_gamma 90.00
loop_
_atom_site_label
_atom_site_fract_x
_atom_site_fract_y
_atom_site_fract_z
_atom_site_occupancy
Cs1 0.000 0.000 0.000 1
Mo1 0.000 0.500 0.500 1
Br1 0.097 0.329 0.767 1
Br2 0.231 0.000 0.570 1
```